1.
Ce3Si2Sn3: computed powder diffractogram (copper Kα), based on a crystal structure in Alexandria, relaxed with PBE.

```
data_Ce3Si2Sn3
_chemical_formula_sum 'Ce6 Si4 Sn6'
_symmetry_space_group_name_H-M 'P 63/m m c'
_symmetry_Int_Tables_number 194
_symmetry_space_group_name_Hall '-P 6c 2c'
_cell_length_a 4.5412
_cell_length_b 4.5412
_cell_length_c 23.3473
_cell_angle_alpha 90.00
_cell_angle_beta 90.00
_cell_angle_gamma 120.00
loop_
_atom_site_label
_atom_site_fract_x
_atom_site_fract_y
_atom_site_fract_z
Ce1 0.3333 0.6667 0.0765
Ce2 0.3333 0.6667 0.2500
Si1 0.0000 0.0000 0.1656
Sn1 0.0000 0.0000 0.0000
Sn2 0.3333 0.6667 0.6604
```

The 12 most intense peaks (2θ = 5–70°), low angle first:
| d_spacing | intensity |
| --- | --- |
| 3.933 | 9 |
| 3.727 | 13 |
| 3.262 | 11 |
| 3.008 | 100 |
| 2.766 | 24 |
| 2.544 | 28 |
| 2.271 | 70 |
| 1.946 | 13 |
| 1.812 | 23 |
| 1.694 | 8 |
| 1.477 | 31 |
| 1.416 | 21 |

2.
CeSi3Tc2: computed powder diffractogram (copper Kα), based on a crystal structure in Alexandria, relaxed with PBE.

```
data_CeSi3Tc2
_chemical_formula_sum 'Ce4 Si12 Tc8'
_symmetry_space_group_name_H-M 'C m c m'
_symmetry_Int_Tables_number 63
_symmetry_space_group_name_Hall '-C 2c 2'
_cell_length_a 9.477
_cell_length_b 7.394
_cell_length_c 5.790
_cell_angle_alpha 90.00
_cell_angle_beta 90.00
_cell_angle_gamma 90.00
loop_
_atom_site_label
_atom_site_fract_x
_atom_site_fract_y
_atom_site_fract_z
Ce1 0.000 0.160 0.250
Si1 0.000 0.441 0.750
Si2 0.174 0.211 0.750
Tc1 0.204 0.500 0.000
```

The 12 most intense peaks (2θ = 5–70°), low angle first:
| d_spacing | intensity |
| --- | --- |
| 4.108 | 39 |
| 2.915 | 41 |
| 2.905 | 46 |
| 2.600 | 100 |
| 2.593 | 24 |
| 2.471 | 76 |
| 2.385 | 38 |
| 2.279 | 55 |
| 2.053 | 37 |
| 1.613 | 31 |
| 1.551 | 25 |
| 1.502 | 25 |